For Hf3Ni2As4Pd2, a structure optimized by DFT (GGA-PBE) gives the computed powder XRD pattern in this record (Cu Kα (weighted mean of Kα1 and Kα2)).
No peak broadening, texture or thermal motion is included.

Principal peaks in the range 2θ = 5–70°, in order of falling intensity:
Position (°2θ)  I_rel  h k l
36.0  100.0  2 1 0
43.0  63.6  0 1 3
37.9  54.3  2 1 -1
38.1  53.9  2 1 1
47.2  44.5  0 2 0
36.2  33.4  1 1 2
11.7  24.4  0 0 1
13.5  23.6  1 0 0
69.9  22.8  3 1 -4
38.5  20.2  1 0 3
38.2  20.1  1 0 -3
45.2  19.8  2 0 -3

Cell and atoms:
a = 6.563 Å, b = 3.847 Å, c = 7.535 Å
α = 90.00°, β = 90.62°, γ = 90.00°
Element x y z (fractional)
Hf  0.000  0.000  0.000
Hf  0.074  0.500  0.375
Hf  0.513  0.000  0.869
Ni  0.705  0.500  0.121
Ni  0.914  0.000  0.622
As  0.300  0.500  0.061
As  0.315  0.000  0.564
As  0.781  0.500  0.790
As  0.790  0.000  0.316
Pd  0.171  0.500  0.745
Pd  0.407  0.000  0.249

For Ba3As4Pt4, a structure optimized by DFT (GGA-PBE) gives the computed powder XRD pattern in this record (Cu Kα (weighted mean of Kα1 and Kα2)).
No peak broadening, texture or thermal motion is included.

Principal peaks in the range 2θ = 5–70°, in order of falling intensity:
Position (°2θ)  I_rel  h k l
31.3  100.0  1 1 2
39.3  27.8  0 2 0
28.5  27.0  0 1 3
40.5  26.9  1 0 5
6.8  26.3  0 0 1
40.8  25.1  2 0 0
57.7  19.0  1 2 5
57.9  18.0  2 2 0
64.8  16.2  1 1 8
45.2  15.3  1 1 5
66.3  11.8  1 3 2
50.5  11.1  2 1 3

Cell and atoms:
a = 4.428 Å, b = 4.585 Å, c = 12.904 Å
α = 90.00°, β = 90.00°, γ = 90.00°
Element x y z (fractional)
Ba  0.000  0.000  0.000
Ba  0.500  0.000  0.301
Ba  0.500  0.000  0.699
As  0.000  0.500  0.389
As  0.000  0.500  0.611
As  0.500  0.500  0.104
As  0.500  0.500  0.896
Pt  0.000  0.000  0.500
Pt  0.000  0.500  0.193
Pt  0.000  0.500  0.807
Pt  0.500  0.500  0.500

For K2PdBr4, a structure optimized by DFT (GGA-PBE) gives the computed powder XRD pattern in this record (Cu Kα (weighted mean of Kα1 and Kα2)).
No peak broadening, texture or thermal motion is included.

Principal peaks in the range 2θ = 5–70°, in order of falling intensity:
Position (°2θ)  I_rel  h k l
11.8  100.0  0 1 0
33.8  99.6  0 2 2
20.2  91.1  1 0 0
31.4  83.7  1 2 0
39.7  58.6  1 2 2
26.3  57.9  1 1 1
54.2  48.9  2 2 2
23.5  41.1  1 1 0
48.6  32.5  0 4 0
41.1  30.0  2 0 0
65.4  25.8  2 4 0
43.4  24.2  1 3 1

Cell and atoms:
a = 4.393 Å, b = 7.504 Å, c = 7.497 Å
α = 90.00°, β = 90.00°, γ = 90.00°
Element x y z (fractional)
K  0.000  0.000  0.000
K  0.000  0.500  0.496
Pd  0.500  0.500  0.996
Br  0.500  0.266  0.763
Br  0.500  0.267  0.230
Br  0.500  0.733  0.230
Br  0.500  0.734  0.763

For BaHo4Si5O17, a structure optimized by DFT (GGA-PBE) gives the computed powder XRD pattern in this record (Cu Kα (weighted mean of Kα1 and Kα2)).
No peak broadening, texture or thermal motion is included.

Principal peaks in the range 2θ = 5–70°, in order of falling intensity:
Position (°2θ)  I_rel  h k l
28.3  100.0  1 5 0
16.2  36.6  0 2 1
41.2  32.3  0 0 3
29.1  31.7  1 2 -2
26.1  29.7  1 2 1
30.5  24.1  0 3 2
28.0  22.6  1 1 -2
22.6  22.4  0 4 1
18.9  21.2  1 1 -1
33.0  20.8  2 1 -1
32.8  15.0  0 4 2
34.0  14.9  2 0 0

Cell and atoms:
a = 5.509 Å, b = 19.671 Å, c = 6.852 Å
α = 90.00°, β = 106.58°, γ = 90.00°
Element x y z (fractional)
Ba  0.240  0.250  0.316
Ba  0.760  0.750  0.684
Ho  0.301  0.039  0.618
Ho  0.301  0.461  0.618
Ho  0.352  0.659  0.019
Ho  0.352  0.841  0.019
Ho  0.648  0.159  0.981
Ho  0.648  0.341  0.981
Ho  0.699  0.539  0.382
Ho  0.699  0.961  0.382
Si  0.067  0.250  0.782
Si  0.199  0.061  0.097
Si  0.199  0.439  0.097
Si  0.230  0.636  0.495
Si  0.230  0.864  0.495
Si  0.770  0.136  0.505
Si  0.770  0.364  0.505
Si  0.801  0.561  0.903
Si  0.801  0.939  0.903
Si  0.933  0.750  0.218
O  0.000  0.000  0.000
O  0.000  0.500  0.000
O  0.023  0.183  0.630
O  0.023  0.317  0.630
O  0.044  0.129  0.117
O  0.044  0.371  0.117
O  0.104  0.563  0.521
O  0.104  0.937  0.521
O  0.134  0.750  0.085
O  0.362  0.250  0.921
O  0.364  0.674  0.706
O  0.364  0.826  0.706
O  0.373  0.073  0.941
O  0.373  0.427  0.941
O  0.378  0.034  0.316
O  0.378  0.466  0.316
O  0.423  0.630  0.352
O  0.423  0.870  0.352
O  0.577  0.130  0.648
O  0.577  0.370  0.648
O  0.622  0.534  0.684
O  0.622  0.966  0.684
O  0.627  0.573  0.059
O  0.627  0.927  0.059
O  0.636  0.174  0.294
O  0.636  0.326  0.294
O  0.638  0.750  0.079
O  0.866  0.250  0.915
O  0.896  0.063  0.479
O  0.896  0.437  0.479
O  0.956  0.629  0.883
O  0.956  0.871  0.883
O  0.977  0.683  0.370
O  0.977  0.817  0.370

For In3B5W, a structure optimized by DFT (GGA-PBE) gives the computed powder XRD pattern in this record (Cu Kα (weighted mean of Kα1 and Kα2)).
No peak broadening, texture or thermal motion is included.

Principal peaks in the range 2θ = 5–70°, in order of falling intensity:
Position (°2θ)  I_rel  h k l
27.6  100.0  1 1 -1
31.6  74.8  1 1 1
35.9  52.0  2 0 0
48.2  37.8  2 2 0
31.1  25.7  0 2 0
36.0  18.9  1 2 0
23.6  16.8  0 1 1
46.5  15.1  2 0 -2
57.2  13.3  1 1 -3
57.3  13.2  3 1 -1
51.0  10.9  0 3 1
57.0  9.5  2 2 -2

Cell and atoms:
a = 5.080 Å, b = 5.749 Å, c = 5.092 Å
α = 90.00°, β = 100.42°, γ = 90.00°
Element x y z (fractional)
In  0.000  0.000  0.000
In  0.000  0.415  0.500
In  0.500  0.414  0.000
B  0.000  0.585  0.000
B  0.236  0.658  0.236
B  0.289  0.106  0.710
B  0.711  0.106  0.290
B  0.764  0.658  0.764
W  0.500  0.876  0.500

For Dy3Ho2Hg3, a structure optimized by DFT (GGA-PBE) gives the computed powder XRD pattern in this record (Cu Kα (weighted mean of Kα1 and Kα2)).
No peak broadening, texture or thermal motion is included.

Principal peaks in the range 2θ = 5–70°, in order of falling intensity:
Position (°2θ)  I_rel  h k l
34.0  100.0  1 2 2
37.2  43.2  1 0 4
32.4  42.4  2 0 0
29.8  27.0  0 2 2
58.9  20.9  3 2 2
67.4  19.5  2 2 6
44.6  18.1  2 2 2
57.3  14.5  0 2 6
64.3  13.8  1 4 4
61.3  11.0  2 4 0
61.0  10.3  3 0 4
50.5  9.8  0 4 0

Cell and atoms:
a = 5.519 Å, b = 7.235 Å, c = 10.765 Å
α = 90.00°, β = 90.00°, γ = 90.00°
Element x y z (fractional)
Dy  0.000  0.000  0.000
Dy  0.000  0.500  0.500
Dy  0.500  0.244  0.935
Dy  0.500  0.256  0.435
Dy  0.500  0.744  0.435
Dy  0.500  0.756  0.935
Ho  0.000  0.000  0.550
Ho  0.000  0.500  0.050
Ho  0.500  0.000  0.190
Ho  0.500  0.500  0.690
Hg  0.000  0.214  0.275
Hg  0.000  0.286  0.775
Hg  0.000  0.714  0.775
Hg  0.000  0.786  0.275
Hg  0.500  0.000  0.688
Hg  0.500  0.500  0.188

For CdH2S2O8, a structure optimized by DFT (GGA-PBE) gives the computed powder XRD pattern in this record (Cu Kα (weighted mean of Kα1 and Kα2)).
No peak broadening, texture or thermal motion is included.

Principal peaks in the range 2θ = 5–70°, in order of falling intensity:
Position (°2θ)  I_rel  h k l
13.8  100.0  0 2 0
24.8  78.5  1 2 1
25.3  67.8  0 2 2
28.7  67.3  1 3 -1
27.0  60.1  1 3 0
21.6  60.0  1 1 1
37.8  48.0  1 1 3
42.8  47.9  0 4 3
34.4  46.6  2 0 0
34.0  44.4  1 3 -2
36.3  44.3  1 1 -3
45.3  38.4  1 5 2

Cell and atoms:
a = 5.220 Å, b = 12.825 Å, c = 8.435 Å
α = 90.00°, β = 92.77°, γ = 90.00°
Element x y z (fractional)
Cd  0.203  0.044  0.251
Cd  0.203  0.456  0.751
Cd  0.797  0.544  0.249
Cd  0.797  0.956  0.749
H  0.066  0.227  0.796
H  0.066  0.273  0.296
H  0.458  0.727  0.432
H  0.458  0.773  0.932
H  0.542  0.227  0.068
H  0.542  0.273  0.568
H  0.934  0.727  0.704
H  0.934  0.773  0.204
S  0.269  0.650  0.055
S  0.269  0.850  0.555
S  0.305  0.098  0.872
S  0.305  0.402  0.372
S  0.695  0.598  0.628
S  0.695  0.902  0.128
S  0.731  0.150  0.445
S  0.731  0.350  0.945
O  0.026  0.674  0.132
O  0.026  0.826  0.632
O  0.159  0.165  0.745
O  0.159  0.335  0.245
O  0.184  0.506  0.367
O  0.184  0.994  0.867
O  0.247  0.546  0.985
O  0.247  0.954  0.485
O  0.283  0.149  0.028
O  0.283  0.351  0.528
O  0.289  0.734  0.924
O  0.289  0.766  0.424
O  0.427  0.594  0.671
O  0.427  0.906  0.171
O  0.494  0.661  0.163
O  0.494  0.839  0.663
O  0.506  0.161  0.337
O  0.506  0.339  0.837
O  0.573  0.094  0.829
O  0.573  0.406  0.329
O  0.711  0.234  0.576
O  0.711  0.266  0.076
O  0.717  0.649  0.472
O  0.717  0.851  0.972
O  0.753  0.046  0.515
O  0.753  0.454  0.015
O  0.816  0.006  0.133
O  0.816  0.494  0.633
O  0.841  0.665  0.755
O  0.841  0.835  0.255
O  0.974  0.174  0.368
O  0.974  0.326  0.868

For NdGdPt2, a structure optimized by DFT (GGA-PBE) gives the computed powder XRD pattern in this record (Cu Kα (weighted mean of Kα1 and Kα2)).
No peak broadening, texture or thermal motion is included.

Principal peaks in the range 2θ = 5–70°, in order of falling intensity:
Position (°2θ)  I_rel  h k l
39.4  100.0  2 0 0
35.4  71.2  1 1 2
31.5  54.7  1 0 2
34.0  30.0  0 2 1
52.9  17.1  2 2 1
53.2  16.5  0 1 4
68.2  15.8  2 1 4
40.7  14.8  0 1 3
19.9  14.0  0 1 1
57.9  10.6  2 1 3
68.8  10.4  3 1 2
27.9  9.9  1 1 1

Cell and atoms:
a = 4.580 Å, b = 5.668 Å, c = 7.224 Å
α = 90.00°, β = 90.00°, γ = 90.00°
Element x y z (fractional)
Nd  0.000  0.111  0.000
Nd  0.000  0.889  0.500
Gd  0.500  0.390  0.635
Gd  0.500  0.610  0.135
Pt  0.000  0.407  0.363
Pt  0.000  0.593  0.863
Pt  0.500  0.098  0.275
Pt  0.500  0.902  0.775

What did the fifth record say?
For In3B5W, a structure optimized by DFT (GGA-PBE) gives the computed powder XRD pattern in this record (Cu Kα (weighted mean of Kα1 and Kα2)).
No peak broadening, texture or thermal motion is included.

Principal peaks in the range 2θ = 5–70°, in order of falling intensity:
Position (°2θ)  I_rel  h k l
27.6  100.0  1 1 -1
31.6  74.8  1 1 1
35.9  52.0  2 0 0
48.2  37.8  2 2 0
31.1  25.7  0 2 0
36.0  18.9  1 2 0
23.6  16.8  0 1 1
46.5  15.1  2 0 -2
57.2  13.3  1 1 -3
57.3  13.2  3 1 -1
51.0  10.9  0 3 1
57.0  9.5  2 2 -2

Cell and atoms:
a = 5.080 Å, b = 5.749 Å, c = 5.092 Å
α = 90.00°, β = 100.42°, γ = 90.00°
Element x y z (fractional)
In  0.000  0.000  0.000
In  0.000  0.415  0.500
In  0.500  0.414  0.000
B  0.000  0.585  0.000
B  0.236  0.658  0.236
B  0.289  0.106  0.710
B  0.711  0.106  0.290
B  0.764  0.658  0.764
W  0.500  0.876  0.500